Entry 1:
Structure and simulated powder XRD pattern of Pr2Dy2SiBr5 (a crystal structure in OQMD, relaxed with GGA-PBE; Cu Kα X-rays).
Lines closer than 0.1° are merged.

Main lines, by intensity (10 to 90 degrees two-theta):
Position (°2θ), I/Imax
29.71, 1000
10.28, 390
42.07, 249
42.95, 215
53.94, 127
15.66, 124
41.04, 124
43.94, 123

Atomic structure:
```
10
Lattice="9.2297 -2.0604 0.0000 9.2297 2.0604 0.0000 -1.8504 0.0000 8.6033" Properties=species:S:1:pos:R:3 pbc="T T T"
Pr -0.4852 0.0000 2.3711
Pr 17.0942 0.0000 6.2322
Dy 5.6999 0.0000 3.6438
Dy 10.9091 0.0000 4.9595
Si 8.3045 0.0000 4.3016
Br 1.6269 0.0000 6.9786
Br 2.6052 0.0000 3.0695
Br 9.2297 0.0000 0.0000
Br 14.0038 0.0000 5.5338
Br 14.9821 0.0000 1.6247
```

Entry 2:
Structure and simulated powder XRD pattern of Er2TmLu4Ni2Te2 (a crystal structure in OQMD, relaxed with GGA-PBE; Cu Kα X-rays).
Lines closer than 0.1° are merged.

Main lines, by intensity (10 to 90 degrees two-theta):
Position (°2θ), I/Imax
34.61, 1000
33.40, 839
30.73, 761
35.03, 515
59.62, 444
47.85, 298
52.03, 281
35.24, 251

Atomic structure:
```
11
Lattice="-1.9011 7.6394 4.7334 1.9011 -7.6394 4.7334 1.9011 7.6394 -4.7334" Properties=species:S:1:pos:R:3 pbc="T T T"
Er 0.0000 2.0533 0.0000
Er 0.0000 13.2255 0.0000
Tm 0.0000 0.0000 3.9740
Lu 1.9011 -2.8324 2.8057
Lu 1.9011 2.8324 2.8057
Lu 0.0000 5.3957 1.3856
Lu 0.0000 9.8830 1.3856
Ni 1.9011 4.0427 -0.1076
Ni 0.0000 3.5967 4.6258
Te 1.9011 0.0000 1.4622
Te 0.0000 0.0000 7.1492
```

Entry 3:
Structure and simulated powder XRD pattern of GdErB2Pd2N2 (a crystal structure in OQMD, relaxed with GGA-PBE; Cu Kα X-rays).
Lines closer than 0.1° are merged.

Main lines, by intensity (10 to 90 degrees two-theta):
Position (°2θ), I/Imax
36.31, 1000
26.78, 778
41.88, 602
33.76, 578
35.31, 511
49.26, 443
62.06, 391
60.05, 273

Atomic structure:
```
8
Lattice="3.6994 0.0000 0.0000 0.0000 3.6994 0.0000 0.0000 0.0000 7.6249" Properties=species:S:1:pos:R:3 pbc="T T T"
Gd 0.0000 0.0000 0.0000
Er 1.8497 1.8497 5.1502
B 0.0000 0.0000 3.8888
B 1.8497 1.8497 1.2348
Pd 0.0000 1.8497 2.5802
Pd 1.8497 0.0000 2.5802
N 0.0000 0.0000 5.3161
N 1.8497 1.8497 7.4241
```